Record 1
Theoretical powder X-ray diffraction pattern of Ca3Al2As4 for Cu Kα X-rays, from DFT lattice parameters and positions (PBE).
Kinematic intensities with the Lorentz-polarization factor, no thermal factor.

Structure:
```
Ca3Al2As4
1.0
6.758 -4.072 0.000
6.758 4.072 0.000
-0.492 0.000 8.269
Ca Al As
6 4 8
Cartesian
4.687 2.233 2.992
6.389 2.832 6.202
8.583 2.233 1.142
4.441 -2.233 7.127
6.635 -2.832 2.067
8.337 -2.233 5.277
3.645 0.921 7.916
3.891 -0.921 3.782
9.133 0.921 4.487
9.379 -0.921 0.353
1.076 0.930 7.966
11.949 -0.930 0.304
1.322 -0.930 3.831
4.449 0.723 5.548
4.695 -0.723 1.414
8.329 0.723 6.855
8.576 -0.723 2.721
11.702 0.930 4.438
```

Most intense lines, 2θ from 10° to 90°, sorted by position:
2θ = 24.37°, I 54.2; 2θ = 24.69°, I 36.9; 2θ = 26.42°, I 92.3; 2θ = 28.08°, I 100.0; 2θ = 34.62°, I 86.2; 2θ = 35.56°, I 41.1; 2θ = 36.74°, I 52.0; 2θ = 39.97°, I 35.4; 2θ = 40.36°, I 40.0; 2θ = 47.08°, I 36.6



Record 2
Theoretical powder X-ray diffraction pattern of Co2Ge3Se3 for Cu Kα X-rays, from DFT lattice parameters and positions (PBE).
Kinematic intensities with the Lorentz-polarization factor, no thermal factor.

Structure:
```
Co2Ge3Se3
1.0
5.921 3.418 4.842
-5.921 3.418 4.842
0.000 -6.837 4.842
Co Ge Se
8 12 12
Cartesian
-2.962 1.699 6.011
0.010 -3.414 6.011
0.000 0.000 3.620
-2.952 -1.716 8.514
2.952 1.716 6.011
0.000 0.000 10.905
-0.010 3.414 8.514
2.962 -1.699 8.514
-3.970 -3.448 7.335
-4.971 1.714 7.190
-2.886 -0.587 6.437
1.001 -5.162 7.190
-0.935 -2.793 8.088
1.952 -2.206 6.437
-1.952 2.206 8.088
0.935 2.793 6.437
-1.001 5.162 7.335
2.886 0.587 8.088
4.971 -1.714 7.335
3.970 3.448 7.190
-2.036 -4.617 5.776
-5.016 -0.545 8.749
-1.152 -1.669 4.865
-2.980 4.071 5.776
-0.869 1.832 4.865
2.021 -0.163 4.865
-2.021 0.163 9.660
0.869 -1.832 9.660
2.980 -4.071 8.749
1.152 1.669 9.660
5.016 0.545 5.776
2.036 4.617 8.749
```

Most intense lines, 2θ from 10° to 90°, sorted by position:
2θ = 21.21°, I 13.1; 2θ = 26.05°, I 10.5; 2θ = 33.84°, I 100.0; 2θ = 40.28°, I 34.7; 2θ = 48.60°, I 35.4; 2θ = 51.14°, I 8.9; 2θ = 53.59°, I 22.6; 2θ = 55.97°, I 24.1; 2θ = 64.88°, I 11.2; 2θ = 77.24°, I 15.1



Record 3
Theoretical powder X-ray diffraction pattern of Ce5Pb3 for Cu Kα X-rays, from DFT lattice parameters and positions (PBE).
Kinematic intensities with the Lorentz-polarization factor, no thermal factor.

Structure:
```
Ce5Pb3
1.0
9.495 0.000 0.000
-4.747 8.223 0.000
0.000 0.000 6.498
Ce Pb
10 6
Cartesian
-1.205 2.088 1.625
-3.542 6.135 4.874
2.411 0.000 1.625
1.205 2.088 4.874
0.000 5.482 0.000
0.000 5.482 3.249
4.747 2.741 0.000
4.747 2.741 3.249
7.084 0.000 4.874
3.542 6.135 1.625
-1.839 3.186 4.874
-2.908 5.037 1.625
3.679 0.000 4.874
1.839 3.186 1.625
5.816 0.000 1.625
2.908 5.037 4.874
```

Most intense lines, 2θ from 10° to 90°, sorted by position:
2θ = 27.45°, I 26.1; 2θ = 28.73°, I 20.7; 2θ = 31.92°, I 100.0; 2θ = 32.67°, I 65.1; 2θ = 33.42°, I 82.8; 2θ = 41.99°, I 26.7; 2θ = 47.43°, I 19.0; 2θ = 51.42°, I 26.5; 2θ = 58.79°, I 17.0; 2θ = 63.39°, I 18.6



Record 4
Theoretical powder X-ray diffraction pattern of KMg6Cd for Cu Kα X-rays, from DFT lattice parameters and positions (PBE).
Kinematic intensities with the Lorentz-polarization factor, no thermal factor.

Structure:
```
KMg6Cd
1.0
5.367 0.000 0.000
0.000 3.333 5.849
0.000 -3.333 5.849
K Mg Cd
1 6 1
Cartesian
0.000 0.000 0.000
0.000 -1.643 2.929
0.000 1.643 2.929
2.684 0.000 2.031
2.684 -1.594 4.839
2.684 1.594 4.839
2.684 0.000 7.795
0.000 0.000 5.815
```

Most intense lines, 2θ from 10° to 90°, sorted by position:
2θ = 15.15°, I 26.5; 2θ = 15.30°, I 29.8; 2θ = 16.52°, I 23.4; 2θ = 22.48°, I 24.6; 2θ = 22.59°, I 19.5; 2θ = 30.88°, I 29.9; 2θ = 33.39°, I 37.1; 2θ = 34.94°, I 49.5; 2θ = 35.22°, I 100.0; 2θ = 60.86°, I 18.8



Record 5
Theoretical powder X-ray diffraction pattern of LiSbP4O12 for Cu Kα X-rays, from DFT lattice parameters and positions (PBE).
Kinematic intensities with the Lorentz-polarization factor, no thermal factor.

Structure:
```
LiSbP4O12
1.0
7.024 0.000 0.000
0.000 9.058 0.000
-0.536 0.000 7.508
Li Sb P O
2 2 8 24
Cartesian
1.276 0.000 2.279
5.211 4.529 5.229
1.346 5.848 5.861
5.142 1.319 1.647
-0.018 5.915 0.594
0.552 4.105 2.875
2.222 2.575 6.827
2.930 5.772 3.104
3.557 1.244 4.404
4.265 7.104 0.681
5.935 8.634 4.633
6.505 1.387 6.914
-0.271 0.678 5.520
0.134 0.460 0.612
0.199 2.752 2.372
0.228 4.449 4.325
0.631 2.464 6.840
1.309 6.644 0.513
1.960 6.884 3.396
2.091 4.457 2.548
2.678 0.791 3.295
2.466 4.012 6.405
2.635 1.526 5.705
3.255 2.129 0.663
3.232 6.657 6.845
3.852 6.054 1.803
4.021 8.541 1.103
3.810 5.319 4.212
4.396 8.986 4.960
4.528 2.356 4.112
5.179 2.115 6.995
5.857 6.992 0.668
6.259 8.978 3.183
6.288 7.281 5.136
6.354 4.989 6.896
6.758 5.207 1.988
```

Most intense lines, 2θ from 10° to 90°, sorted by position:
2θ = 15.99°, I 100.0; 2θ = 17.92°, I 27.4; 2θ = 19.60°, I 55.6; 2θ = 22.93°, I 20.8; 2θ = 26.68°, I 71.2; 2θ = 27.95°, I 28.7; 2θ = 29.07°, I 23.9; 2θ = 30.56°, I 29.1; 2θ = 37.28°, I 26.0; 2θ = 39.86°, I 27.9



Record 6
Theoretical powder X-ray diffraction pattern of Li2Cu4S3 for Cu Kα X-rays, from DFT lattice parameters and positions (PBE).
Kinematic intensities with the Lorentz-polarization factor, no thermal factor.

Structure:
```
Li2Cu4S3
1.0
5.630 -4.644 0.000
5.630 4.644 0.000
-2.853 0.000 5.325
Li Cu S
4 8 6
Cartesian
1.323 0.587 0.890
-0.104 -0.587 3.553
8.511 0.587 1.772
7.084 -0.587 4.434
2.890 2.472 2.047
4.196 1.233 0.183
6.944 2.472 0.615
5.637 1.233 2.480
2.770 -1.233 2.845
1.463 -2.472 4.710
4.211 -1.233 5.142
5.517 -2.472 3.277
4.917 3.158 1.331
1.854 0.842 3.285
3.280 -0.842 0.622
5.126 0.842 4.702
6.553 -0.842 2.040
3.490 -3.158 3.994
```

Most intense lines, 2θ from 10° to 90°, sorted by position:
2θ = 13.05°, I 88.9; 2θ = 19.11°, I 81.9; 2θ = 24.36°, I 90.4; 2θ = 26.21°, I 62.6; 2θ = 28.64°, I 45.1; 2θ = 36.20°, I 60.4; 2θ = 36.80°, I 45.5; 2θ = 37.89°, I 100.0; 2θ = 40.18°, I 46.6; 2θ = 51.26°, I 49.0